Simulated PXRD pattern of AsPdPt14 for Cu Kα, 1.54184 Å, from a structure optimized by DFT (PBE).
Peak positions follow from Bragg's law for the DFT cell and can differ from measured ones.

Largest 10 diffraction maxima, sorted by position, 15° ≤ 2θ ≤ 90°:
d = 4.802 Å, intensity 2; d = 4.293 Å, intensity 1; d = 3.395 Å, intensity 1; d = 2.401 Å, intensity 70; d = 2.138 Å, intensity 100; d = 1.698 Å, intensity 25; d = 1.376 Å, intensity 6; d = 1.330 Å, intensity 44; d = 1.201 Å, intensity 8; d = 1.194 Å, intensity 16

Cell: 9.6064 5.5338 5.5338 Å, 59.65 90.00 90.00°
Positions (direct):
1 As 0.0000 0.0000 0.0000
2 Pd 0.0000 0.5090 0.5090
3 Pt 0.0000 0.0088 0.5076
4 Pt 0.0000 0.5076 0.0088
5 Pt 0.2464 0.2518 0.7594
6 Pt 0.2464 0.7594 0.2518
7 Pt 0.2503 0.2585 0.2585
8 Pt 0.2504 0.7524 0.7524
9 Pt 0.5000 0.0054 0.0054
10 Pt 0.5000 0.0055 0.5054
11 Pt 0.5000 0.5054 0.0055
12 Pt 0.5000 0.5055 0.5055
13 Pt 0.7497 0.2585 0.2585
14 Pt 0.7496 0.7524 0.7524
15 Pt 0.7536 0.2518 0.7594
16 Pt 0.7536 0.7594 0.2518



Simulated PXRD pattern of Pm2Nd4Te3N2 for Cu Kα, 1.54184 Å, from a structure optimized by DFT (PBE).
Peak positions follow from Bragg's law for the DFT cell and can differ from measured ones.

Largest 10 diffraction maxima, sorted by position, 15° ≤ 2θ ≤ 90°:
d = 3.311 Å, intensity 17; d = 3.245 Å, intensity 45; d = 2.987 Å, intensity 18; d = 2.667 Å, intensity 100; d = 2.649 Å, intensity 13; d = 2.367 Å, intensity 52; d = 1.926 Å, intensity 15; d = 1.765 Å, intensity 15; d = 1.674 Å, intensity 18; d = 1.418 Å, intensity 28

Cell: 13.6604 13.6604 13.6604 Å, 160.04 160.04 28.37°
Positions (direct):
1 Pm 0.1945 0.1945 0.0000
2 Pm 0.8055 0.8055 0.0000
3 Nd 0.0829 0.5829 0.5000
4 Nd 0.4171 0.9171 0.5000
5 Nd 0.5829 0.0829 0.5000
6 Nd 0.9171 0.4171 0.5000
7 Te 0.3212 0.3212 0.0000
8 Te 0.5000 0.5000 0.0000
9 Te 0.6788 0.6788 0.0000
10 N 0.1089 0.1089 0.0000
11 N 0.8911 0.8911 0.0000



Simulated PXRD pattern of Mg3Tl2In3 for Cu Kα, 1.54184 Å, from a structure optimized by DFT (PBE).
Peak positions follow from Bragg's law for the DFT cell and can differ from measured ones.

Largest 10 diffraction maxima, sorted by position, 15° ≤ 2θ ≤ 90°:
d = 4.376 Å, intensity 75; d = 3.113 Å, intensity 41; d = 2.942 Å, intensity 65; d = 2.739 Å, intensity 69; d = 2.536 Å, intensity 59; d = 2.527 Å, intensity 58; d = 2.442 Å, intensity 100; d = 1.654 Å, intensity 33; d = 1.564 Å, intensity 39; d = 1.460 Å, intensity 44

Cell: 5.9348 5.9348 5.9348 Å, 95.01 95.01 95.01°
Positions (direct):
1 Mg 0.0000 0.7010 0.2990
2 Mg 0.2990 0.0000 0.7010
3 Mg 0.7010 0.2990 0.0000
4 Tl 0.2018 0.2018 0.2018
5 Tl 0.7982 0.7982 0.7982
6 In 0.2618 0.5000 0.7382
7 In 0.5000 0.7382 0.2618
8 In 0.7382 0.2618 0.5000



Simulated PXRD pattern of Dy4YTe5 for Cu Kα, 1.54184 Å, from a structure optimized by DFT (PBE).
Peak positions follow from Bragg's law for the DFT cell and can differ from measured ones.

Largest 10 diffraction maxima, sorted by position, 15° ≤ 2θ ≤ 90°:
d = 3.125 Å, intensity 47; d = 3.062 Å, intensity 100; d = 2.187 Å, intensity 70; d = 2.165 Å, intensity 38; d = 1.780 Å, intensity 37; d = 1.531 Å, intensity 13; d = 1.392 Å, intensity 12; d = 1.375 Å, intensity 16; d = 1.369 Å, intensity 17; d = 1.254 Å, intensity 26

Cell: 15.9237 15.9237 15.9237 Å, 164.37 164.37 22.17°
Positions (direct):
1 Dy 0.0951 0.0951 0.0000
2 Dy 0.2923 0.2923 0.0000
3 Dy 0.7077 0.7077 0.0000
4 Dy 0.9049 0.9049 0.0000
5 Y 0.5000 0.5000 0.0000
6 Te 0.0000 0.0000 0.0000
7 Te 0.1947 0.1947 0.0000
8 Te 0.3972 0.3972 0.0000
9 Te 0.6028 0.6028 0.0000
10 Te 0.8053 0.8053 0.0000